Cu2As2O7: simulated powder diffractogram (Cu Kα X-rays), based on DFT lattice parameters and positions (PBE).
Intensities are scaled so that the largest is 100.

Structure:
a b c (Å): 7.6043 8.3613 9.9295
angles (deg): 90.00 112.24 90.00
Space group C2/c (No. 15)
Asymmetric unit:
Cu: 0.2076 0.0640 0.4900 x8
As: 0.2360 0.2635 0.7928 x8
O: 0.0000 0.3346 0.7500 x4
O: 0.1278 0.0825 0.1072 x8
O: 0.2058 0.4114 0.1162 x8
O: 0.2393 0.2492 0.3757 x8

Largest 12 diffraction maxima, sorted by position, 2θ = 15–90°:
Position (°2θ), d/Å, I_rel, h k l
25.31, 3.519, 100, 2 0 0
28.88, 3.092, 85, 0 2 2
29.06, 3.072, 53, 1 1 -3
33.33, 2.688, 32, 2 2 -2
34.63, 2.590, 16, 1 3 -1
37.76, 2.382, 11, 1 1 3
40.04, 2.252, 17, 3 1 -3
43.60, 2.076, 25, 2 2 2
50.82, 1.797, 10, 2 4 0
57.27, 1.609, 21, 1 3 -5
60.80, 1.523, 12, 3 3 -5
66.32, 1.409, 12, 1 3 5